1.
ZnCd3Sb4: simulated powder diffractogram (Cu Ka), based on a crystal structure in Alexandria, relaxed with PBE.
Kinematic intensities with the Lorentz-polarization factor, no thermal factor.

Structure:
a b c (Å): 9.004 6.604 8.295
angles (deg): 90.00 90.00 90.00
Space group Pmn2_1 (No. 31)
Inequivalent atoms, fractional coordinates:
Zn 0.000 0.199 0.000 [2 per cell]
Cd 0.000 0.558 0.502 [2 per cell]
Cd 0.213 0.794 0.013 [4 per cell]
Sb 0.000 0.154 0.319 [2 per cell]
Sb 0.000 0.560 0.843 [2 per cell]
Sb 0.227 0.806 0.354 [4 per cell]

Peak list (10 most intense, 10 to 90 degrees two-theta, in order of rising 2θ)
19.81 deg, I = 37.0; 21.42 deg, I = 52.7; 23.92 deg, I = 27.1; 26.26 deg, I = 68.6; 33.66 deg, I = 29.0; 36.62 deg, I = 28.1; 40.06 deg, I = 29.0; 40.65 deg, I = 100.0; 41.00 deg, I = 20.2; 69.53 deg, I = 22.4

---

2.
LiInPS4: simulated powder diffractogram (Cu Ka), based on a crystal structure in Alexandria, relaxed with PBE.
Kinematic intensities with the Lorentz-polarization factor, no thermal factor.

Structure:
a b c (Å): 7.550 7.582 10.125
angles (deg): 90.00 90.00 90.00
Space group Imma (No. 74)
Inequivalent atoms, fractional coordinates:
Li 0.000 0.000 0.000 [4 per cell]
In 0.250 0.250 0.250 [4 per cell]
P 0.000 0.250 0.630 [4 per cell]
S 0.000 0.011 0.244 [8 per cell]
S 0.231 0.250 0.524 [8 per cell]

Peak list (10 most intense, 10 to 90 degrees two-theta, in order of rising 2θ)
14.60 deg, I = 100.0; 17.52 deg, I = 56.6; 23.49 deg, I = 56.3; 27.83 deg, I = 94.4; 28.96 deg, I = 72.8; 33.50 deg, I = 82.6; 35.46 deg, I = 32.1; 37.67 deg, I = 36.3; 44.04 deg, I = 31.4; 49.58 deg, I = 75.0